Theoretical PXRD pattern
Compound: Ac2IrPdO6
Radiation: a wavelength of 1.5418 Å
Structure: the GGA-PBE geometry in Alexandria
Lines closer than 0.1° are merged.

Top 10 peaks for 10° ≤ 2θ ≤ 90°, by angle:
2θ 30.09, intensity 27.1, (2 0 0)
2θ 30.66, intensity 100.0, (1 2 1)
2θ 31.24, intensity 23.7, (0 0 2)
2θ 43.91, intensity 38.3, (0 4 0)
2θ 53.80, intensity 22.2, (3 2 1)
2θ 54.13, intensity 10.8, (2 4 0)
2θ 54.85, intensity 10.0, (0 4 2)
2θ 55.23, intensity 19.5, (1 2 3)
2θ 63.84, intensity 16.1, (2 4 2)
2θ 72.47, intensity 17.3, (1 6 1)

Crystal structure
```
data_Ac2IrPdO6
_chemical_formula_sum 'Ac4 Ir2 Pd2 O12'
_symmetry_space_group_name_H-M 'P m m n'
_symmetry_Int_Tables_number 59
_cell_length_a 5.9393
_cell_length_b 8.2515
_cell_length_c 5.7271
_cell_angle_alpha 90.00
_cell_angle_beta 90.00
_cell_angle_gamma 90.00
loop_
_symmetry_equiv_pos_as_xyz
'x,y,z'
'-x,-y,-z'
'-x+1/2,-y+1/2,z'
'x+1/2,y+1/2,-z'
'x+1/2,-y,-z'
'-x+1/2,y,z'
'-x,y+1/2,-z'
'x,-y+1/2,z'
loop_
_atom_site_label
_atom_site_type_symbol
_atom_site_fract_x
_atom_site_fract_y
_atom_site_fract_z
Ac1 Ac 0.2500 0.0017 0.2321
Ir1 Ir 0.2500 0.2500 0.7410
Pd1 Pd 0.2500 0.7500 0.7409
O1 O 0.0221 0.7500 0.0470
O2 O 0.0404 0.2500 0.4615
O3 O 0.2500 0.0081 0.7926
```